[1]
# Tl4Bi2S5
Simulated powder diffractogram, copper Kα. Input: DFT lattice parameters and positions (GGA-PBE).

Structural model:
Lattice parameters (Å, degrees): 17.3806 4.1536 17.7729 90.00 90.00 90.00
Element x y z (fractional)
Tl  0.0695  0.2500  0.0836
Tl  0.1833  0.7500  0.9279
Tl  0.1847  0.7500  0.2389
Tl  0.1890  0.7500  0.5801
Tl  0.3110  0.2500  0.0801
Tl  0.3153  0.2500  0.7389
Tl  0.3167  0.2500  0.4279
Tl  0.4305  0.7500  0.5836
Tl  0.5695  0.2500  0.4164
Tl  0.6833  0.7500  0.5721
Tl  0.6847  0.7500  0.2611
Tl  0.6890  0.7500  0.9199
Tl  0.8110  0.2500  0.4199
Tl  0.8153  0.2500  0.7611
Tl  0.8167  0.2500  0.0721
Tl  0.9305  0.7500  0.9164
Bi  0.0576  0.2500  0.4113
Bi  0.0697  0.2500  0.7566
Bi  0.4303  0.7500  0.2566
Bi  0.4424  0.7500  0.9113
Bi  0.5576  0.2500  0.0887
Bi  0.5697  0.2500  0.7434
Bi  0.9303  0.7500  0.2434
Bi  0.9424  0.7500  0.5887
S  0.0442  0.2500  0.2584
S  0.0496  0.2500  0.9065
S  0.0642  0.2500  0.5815
S  0.1632  0.7500  0.4040
S  0.1793  0.7500  0.7638
S  0.3207  0.2500  0.2638
S  0.3368  0.2500  0.9040
S  0.4358  0.7500  0.0815
S  0.4504  0.7500  0.4065
S  0.4558  0.7500  0.7584
S  0.5442  0.2500  0.2416
S  0.5496  0.2500  0.5935
S  0.5642  0.2500  0.9185
S  0.6632  0.7500  0.0960
S  0.6793  0.7500  0.7362
S  0.8207  0.2500  0.2362
S  0.8368  0.2500  0.5960
S  0.9358  0.7500  0.4185
S  0.9504  0.7500  0.0935
S  0.9558  0.7500  0.7416

Principal peaks in the range 5° ≤ 2θ ≤ 70°, most intense first:
- 29.76 deg, I 100
- 25.42 deg, I 85
- 26.20 deg, I 79
- 42.89 deg, I 68
- 30.17 deg, I 46
- 49.80 deg, I 30

---

[2]
# Sr3BiSb
Simulated powder diffractogram, copper Kα. Input: DFT lattice parameters and positions (GGA-PBE).

Structural model:
Lattice parameters (Å, degrees): 6.2169 6.2169 6.2169 90.00 90.00 90.00
Element x y z (fractional)
Sr  0.0000  0.0000  0.5000
Sr  0.0000  0.5000  0.0000
Sr  0.5000  0.0000  0.0000
Bi  0.0000  0.0000  0.0000
Sb  0.5000  0.5000  0.5000

Principal peaks in the range 5° ≤ 2θ ≤ 70°, most intense first:
- 28.72 deg, I 100
- 41.06 deg, I 76
- 20.20 deg, I 75
- 14.25 deg, I 43
- 35.37 deg, I 38
- 67.36 deg, I 35

---

[3]
# Sr3BiSb
Simulated powder diffractogram, copper Kα. Input: DFT lattice parameters and positions (GGA-PBE).

Structural model:
Lattice parameters (Å, degrees): 6.1639 6.1639 6.1639 90.00 90.00 90.00
Element x y z (fractional)
Sr  0.0000  0.0000  0.5000
Sr  0.0000  0.5000  0.0000
Sr  0.5000  0.0000  0.0000
Bi  0.5000  0.5000  0.5000
Sb  0.0000  0.0000  0.0000

Principal peaks in the range 5° ≤ 2θ ≤ 70°, most intense first:
- 28.97 deg, I 100
- 41.43 deg, I 76
- 20.38 deg, I 75
- 25.02 deg, I 67
- 35.68 deg, I 38
- 68.02 deg, I 35

---

[4]
# BiSbTe3
Simulated powder diffractogram, copper Kα. Input: DFT lattice parameters and positions (GGA-PBE).

Structural model:
Lattice parameters (Å, degrees): 4.3875 4.3875 31.1043 90.00 90.00 120.00
Element x y z (fractional)
Bi  0.0000  0.0000  0.0000
Bi  0.3333  0.6667  0.6667
Bi  0.6667  0.3333  0.3333
Sb  0.0000  0.0000  0.2031
Sb  0.3333  0.6667  0.8698
Sb  0.6667  0.3333  0.5365
Te  0.0000  0.0000  0.3897
Te  0.0000  0.0000  0.5997
Te  0.0000  0.0000  0.8161
Te  0.3333  0.6667  0.0564
Te  0.3333  0.6667  0.2664
Te  0.3333  0.6667  0.4827
Te  0.6667  0.3333  0.1494
Te  0.6667  0.3333  0.7230
Te  0.6667  0.3333  0.9331

Principal peaks in the range 5° ≤ 2θ ≤ 70°, most intense first:
- 27.51 deg, I 100
- 37.36 deg, I 37
- 41.15 deg, I 36
- 50.21 deg, I 19
- 66.86 deg, I 16
- 61.54 deg, I 13

---

[5]
# Sc5Bi3
Simulated powder diffractogram, copper Kα. Input: DFT lattice parameters and positions (GGA-PBE).

Structural model:
Lattice parameters (Å, degrees): 11.3404 8.9880 7.8478 90.00 90.00 90.00
Element x y z (fractional)
Sc  0.0063  0.2500  0.0209
Sc  0.0643  0.0639  0.6938
Sc  0.0643  0.4361  0.6938
Sc  0.2127  0.7500  0.3407
Sc  0.2311  0.2500  0.3226
Sc  0.2689  0.7500  0.8226
Sc  0.2873  0.2500  0.8407
Sc  0.4357  0.5639  0.1938
Sc  0.4357  0.9361  0.1938
Sc  0.4937  0.7500  0.5209
Sc  0.5063  0.2500  0.4791
Sc  0.5643  0.0639  0.8062
Sc  0.5643  0.4361  0.8062
Sc  0.7127  0.7500  0.1593
Sc  0.7311  0.2500  0.1774
Sc  0.7689  0.7500  0.6774
Sc  0.7873  0.2500  0.6593
Sc  0.9357  0.5639  0.3062
Sc  0.9357  0.9361  0.3062
Sc  0.9937  0.7500  0.9791
Bi  0.0250  0.7500  0.5984
Bi  0.1755  0.5100  0.0642
Bi  0.1755  0.9900  0.0642
Bi  0.3245  0.0100  0.5642
Bi  0.3245  0.4900  0.5642
Bi  0.4750  0.2500  0.0984
Bi  0.5250  0.7500  0.9016
Bi  0.6755  0.5100  0.4358
Bi  0.6755  0.9900  0.4358
Bi  0.8245  0.0100  0.9358
Bi  0.8245  0.4900  0.9358
Bi  0.9750  0.2500  0.4016

Principal peaks in the range 5° ≤ 2θ ≤ 70°, most intense first:
- 26.17 deg, I 100
- 24.13 deg, I 86
- 25.29 deg, I 63
- 31.27 deg, I 62
- 34.21 deg, I 58
- 33.00 deg, I 45

---

[6]
# ScBi3
Simulated powder diffractogram, copper Kα. Input: DFT lattice parameters and positions (GGA-PBE).

Structural model:
Lattice parameters (Å, degrees): 4.6302 4.6302 10.8213 90.00 90.00 90.00
Element x y z (fractional)
Sc  0.0000  0.0000  0.0000
Sc  0.5000  0.5000  0.5000
Bi  0.0000  0.0000  0.5000
Bi  0.0000  0.5000  0.2500
Bi  0.0000  0.5000  0.7500
Bi  0.5000  0.0000  0.2500
Bi  0.5000  0.0000  0.7500
Bi  0.5000  0.5000  0.0000

Principal peaks in the range 5° ≤ 2θ ≤ 70°, most intense first:
- 31.95 deg, I 100
- 38.90 deg, I 30
- 51.99 deg, I 26
- 66.11 deg, I 26
- 33.11 deg, I 23
- 58.42 deg, I 18

---

[7]
# Bi8Se7
Simulated powder diffractogram, copper Kα. Input: DFT lattice parameters and positions (GGA-PBE).

Structural model:
Lattice parameters (Å, degrees): 4.2875 4.2875 88.6410 90.00 90.00 120.00
Element x y z (fractional)
Bi  0.0000  0.0000  0.0682
Bi  0.0000  0.0000  0.1357
Bi  0.0000  0.0000  0.3328
Bi  0.0000  0.0000  0.4003
Bi  0.0000  0.0000  0.5997
Bi  0.0000  0.0000  0.6672
Bi  0.0000  0.0000  0.8643
Bi  0.0000  0.0000  0.9318
Bi  0.3333  0.6667  0.0212
Bi  0.3333  0.6667  0.0882
Bi  0.3333  0.6667  0.2858
Bi  0.3333  0.6667  0.3529
Bi  0.3333  0.6667  0.4900
Bi  0.3333  0.6667  0.5571
Bi  0.3333  0.6667  0.7568
Bi  0.3333  0.6667  0.8218
Bi  0.6667  0.3333  0.1782
Bi  0.6667  0.3333  0.2432
Bi  0.6667  0.3333  0.4429
Bi  0.6667  0.3333  0.5100
Bi  0.6667  0.3333  0.6471
Bi  0.6667  0.3333  0.7142
Bi  0.6667  0.3333  0.9118
Bi  0.6667  0.3333  0.9788
Se  0.0000  0.0000  0.0000
Se  0.0000  0.0000  0.1951
Se  0.0000  0.0000  0.2649
Se  0.0000  0.0000  0.4604
Se  0.0000  0.0000  0.5396
Se  0.0000  0.0000  0.7351
Se  0.0000  0.0000  0.8049
Se  0.3333  0.6667  0.1566
Se  0.3333  0.6667  0.2263
Se  0.3333  0.6667  0.4217
Se  0.3333  0.6667  0.6171
Se  0.3333  0.6667  0.6967
Se  0.3333  0.6667  0.8817
Se  0.3333  0.6667  0.9615
Se  0.6667  0.3333  0.0385
Se  0.6667  0.3333  0.1183
Se  0.6667  0.3333  0.3033
Se  0.6667  0.3333  0.3829
Se  0.6667  0.3333  0.5783
Se  0.6667  0.3333  0.7737
Se  0.6667  0.3333  0.8434

Principal peaks in the range 5° ≤ 2θ ≤ 70°, most intense first:
- 28.39 deg, I 100
- 42.15 deg, I 38
- 38.96 deg, I 35
- 51.60 deg, I 20
- 68.75 deg, I 17
- 19.02 deg, I 15

---

[8]
# Bi4Se3
Simulated powder diffractogram, copper Kα. Input: DFT lattice parameters and positions (GGA-PBE).

Structural model:
Lattice parameters (Å, degrees): 13.8403 13.8403 13.8403 17.99 17.99 17.99
Element x y z (fractional)
Bi  0.1454  0.1454  0.1454
Bi  0.2875  0.2875  0.2875
Bi  0.7125  0.7125  0.7125
Bi  0.8546  0.8546  0.8546
Se  0.0000  0.0000  0.0000
Se  0.4162  0.4162  0.4162
Se  0.5838  0.5838  0.5838

Principal peaks in the range 5° ≤ 2θ ≤ 70°, most intense first:
- 28.30 deg, I 100
- 41.73 deg, I 38
- 39.13 deg, I 37
- 51.19 deg, I 20
- 68.10 deg, I 17
- 64.41 deg, I 14

---

[9]
# BiSe2
Simulated powder diffractogram, copper Kα. Input: DFT lattice parameters and positions (GGA-PBE).

Structural model:
Lattice parameters (Å, degrees): 8.7160 8.7160 12.3347 126.14 126.14 28.18
Element x y z (fractional)
Bi  0.1123  0.1123  0.3970
Bi  0.1986  0.1986  0.0919
Bi  0.8014  0.8014  0.9081
Bi  0.8877  0.8877  0.6030
Se  0.1557  0.1557  0.8381
Se  0.2904  0.2904  0.6558
Se  0.4151  0.4151  0.4577
Se  0.4625  0.4625  0.0571
Se  0.5375  0.5375  0.9429
Se  0.5849  0.5849  0.5423
Se  0.7096  0.7096  0.3442
Se  0.8443  0.8443  0.1619

Principal peaks in the range 5° ≤ 2θ ≤ 70°, most intense first:
- 27.00 deg, I 100
- 29.00 deg, I 47
- 33.97 deg, I 41
- 42.61 deg, I 35
- 31.92 deg, I 33
- 21.89 deg, I 27

---

[10]
# Bi3Se4
Simulated powder diffractogram, copper Kα. Input: DFT lattice parameters and positions (GGA-PBE).

Structural model:
Lattice parameters (Å, degrees): 13.5657 13.5657 13.5657 18.36 18.36 18.36
Element x y z (fractional)
Bi  0.0000  0.0000  0.0000
Bi  0.4261  0.4261  0.4261
Bi  0.5739  0.5739  0.5739
Se  0.1280  0.1280  0.1280
Se  0.2915  0.2915  0.2915
Se  0.7085  0.7085  0.7085
Se  0.8720  0.8720  0.8720

Principal peaks in the range 5° ≤ 2θ ≤ 70°, most intense first:
- 28.48 deg, I 100
- 41.74 deg, I 39
- 39.67 deg, I 32
- 51.31 deg, I 20
- 68.21 deg, I 17
- 24.16 deg, I 17

---

[11]
# SmBi2Se4
Simulated powder diffractogram, copper Kα. Input: DFT lattice parameters and positions (GGA-PBE).

Structural model:
Lattice parameters (Å, degrees): 11.1109 4.5456 17.1346 90.00 90.00 90.00
Element x y z (fractional)
Sm  0.1677  0.2500  0.1710
Sm  0.3323  0.7500  0.6710
Sm  0.6677  0.2500  0.3290
Sm  0.8323  0.7500  0.8290
Bi  0.0224  0.2500  0.6060
Bi  0.1729  0.7500  0.9633
Bi  0.3271  0.2500  0.4633
Bi  0.4776  0.7500  0.1060
Bi  0.5224  0.2500  0.8940
Bi  0.6729  0.7500  0.5367
Bi  0.8271  0.2500  0.0367
Bi  0.9776  0.7500  0.3940
Se  0.0198  0.7500  0.0959
Se  0.1105  0.2500  0.3402
Se  0.1880  0.2500  0.7257
Se  0.1913  0.7500  0.5257
Se  0.3087  0.2500  0.0257
Se  0.3120  0.7500  0.2257
Se  0.3895  0.7500  0.8402
Se  0.4802  0.2500  0.5959
Se  0.5198  0.7500  0.4041
Se  0.6105  0.2500  0.1598
Se  0.6880  0.2500  0.7743
Se  0.6913  0.7500  0.9743
Se  0.8087  0.2500  0.4743
Se  0.8120  0.7500  0.2743
Se  0.8895  0.7500  0.6598
Se  0.9802  0.2500  0.9041

Principal peaks in the range 5° ≤ 2θ ≤ 70°, most intense first:
- 29.83 deg, I 100
- 41.91 deg, I 96
- 27.41 deg, I 95
- 26.28 deg, I 69
- 39.66 deg, I 55
- 39.45 deg, I 45